# La3Pm2Y4
Calculated X-ray powder pattern, Cu Ka. Input: a structure optimized by DFT (PBE).

Structure:
a b c (Å): 6.2840 6.2840 15.0465
angles (deg): 110.37 110.37 33.84
Atoms (fractional coordinates):
La: 0.0000 0.0000 0.0000
La: 0.1109 0.1109 0.4435
La: 0.8891 0.8891 0.5565
Pm: 0.4466 0.4466 0.7796
Pm: 0.5534 0.5534 0.2204
Y: 0.2223 0.2223 0.8891
Y: 0.3300 0.3300 0.3296
Y: 0.6700 0.6700 0.6704
Y: 0.7777 0.7777 0.1109

Top 8 peaks for 10 to 90 degrees two-theta, by angle:
2θ (°)	intensity
29.97	100.0
30.19	33.9
34.81	66.9
49.93	15.8
50.19	23.4
59.31	14.1
59.41	18.6
59.69	13.8

# La3PmY3
Calculated X-ray powder pattern, Cu Ka. Input: a structure optimized by DFT (PBE).

Structure:
a b c (Å): 10.8677 10.8677 10.8677
angles (deg): 109.47 109.47 109.47
Atoms (fractional coordinates):
La: 0.0000 0.6115 0.8031
La: 0.0000 0.8031 0.6115
La: 0.1916 0.3885 0.3885
La: 0.1969 0.1969 0.8084
La: 0.1969 0.8084 0.1969
La: 0.3885 0.1916 0.3885
La: 0.3885 0.3885 0.1916
La: 0.6115 0.0000 0.8031
La: 0.6115 0.8031 0.0000
La: 0.8031 0.0000 0.6115
La: 0.8031 0.6115 0.0000
La: 0.8084 0.1969 0.1969
Pm: 0.0000 0.0000 0.2774
Pm: 0.0000 0.2774 0.0000
Pm: 0.2774 0.0000 0.0000
Pm: 0.7226 0.7226 0.7226
Y: 0.0000 0.3030 0.5759
Y: 0.0000 0.5759 0.3030
Y: 0.2730 0.6970 0.6970
Y: 0.3030 0.0000 0.5759
Y: 0.3030 0.5759 0.0000
Y: 0.4241 0.4241 0.7270
Y: 0.4241 0.7270 0.4241
Y: 0.5759 0.0000 0.3030
Y: 0.5759 0.3030 0.0000
Y: 0.6970 0.2730 0.6970
Y: 0.6970 0.6970 0.2730
Y: 0.7270 0.4241 0.4241

Top 8 peaks for 10 to 90 degrees two-theta, by angle:
2θ (°)	intensity
28.45	61.8
30.22	100.0
33.49	95.9
36.51	74.3
51.49	30.2
54.74	28.9
55.79	24.5
59.88	27.0

# LaPm4Y4
Calculated X-ray powder pattern, Cu Ka. Input: a structure optimized by DFT (PBE).

Structure:
a b c (Å): 8.1096 8.1096 8.1096
angles (deg): 95.73 95.73 143.16
Atoms (fractional coordinates):
La: 0.0000 0.0000 0.0000
Pm: 0.0000 0.3335 0.3335
Pm: 0.0000 0.6665 0.6665
Pm: 0.3335 0.0000 0.3335
Pm: 0.6665 0.0000 0.6665
Y: 0.3323 0.3323 0.6647
Y: 0.3323 0.6677 0.0000
Y: 0.6677 0.3323 0.0000
Y: 0.6677 0.6677 0.3353

Top 8 peaks for 10 to 90 degrees two-theta, by angle:
2θ (°)	intensity
30.19	100.0
35.00	50.4
50.33	35.6
59.82	42.1
62.77	12.1
73.93	5.6
81.88	17.0
84.49	15.8

# La3Pm5Y3
Calculated X-ray powder pattern, Cu Ka. Input: a structure optimized by DFT (PBE).

Structure:
a b c (Å): 9.6727 9.6727 5.6942
angles (deg): 90.00 90.00 120.00
Atoms (fractional coordinates):
La: 0.0000 0.6069 0.0000
La: 0.3931 0.3931 0.0000
La: 0.6069 0.0000 0.0000
Pm: 0.0000 0.3843 0.5000
Pm: 0.3333 0.6667 0.5000
Pm: 0.3843 0.0000 0.5000
Pm: 0.6157 0.6157 0.5000
Pm: 0.6667 0.3333 0.5000
Y: 0.0000 0.7586 0.5000
Y: 0.2414 0.2414 0.5000
Y: 0.7586 0.0000 0.5000

Top 8 peaks for 10 to 90 degrees two-theta, by angle:
2θ (°)	intensity
10.56	37.9
15.56	52.8
24.14	81.0
31.42	53.5
32.05	64.7
32.35	100.0
42.00	36.7
45.50	49.0

# La4Pm8Y
Calculated X-ray powder pattern, Cu Ka. Input: a structure optimized by DFT (PBE).

Structure:
a b c (Å): 6.6544 6.6777 11.8939
angles (deg): 100.73 100.54 109.67
Atoms (fractional coordinates):
La: 0.0000 0.0000 0.0000
La: 0.0000 0.5000 0.5000
La: 0.5000 0.0000 0.5000
La: 0.5000 0.5000 0.0000
Pm: 0.0786 0.1070 0.6789
Pm: 0.1844 0.6855 0.7966
Pm: 0.3831 0.8819 0.2043
Pm: 0.3951 0.4205 0.3215
Pm: 0.6049 0.5795 0.6785
Pm: 0.6169 0.1181 0.7957
Pm: 0.8156 0.3145 0.2034
Pm: 0.9214 0.8930 0.3211
Y: 0.0000 0.5000 0.0000

Top 8 peaks for 10 to 90 degrees two-theta, by angle:
2θ (°)	intensity
28.39	25.3
28.49	25.1
28.87	100.0
29.52	34.6
32.63	41.0
32.87	52.2
33.38	36.4
56.27	20.3

# La4PmY10
Calculated X-ray powder pattern, Cu Ka. Input: a structure optimized by DFT (PBE).

Structure:
a b c (Å): 8.8050 8.8050 8.8050
angles (deg): 112.00 112.00 104.52
Atoms (fractional coordinates):
La: 0.0643 0.3346 0.3988
La: 0.3346 0.9357 0.2703
La: 0.6654 0.0643 0.7297
La: 0.9357 0.6654 0.6012
Pm: 0.0000 0.0000 0.0000
Y: 0.1327 0.4557 0.9080
Y: 0.2247 0.1327 0.6770
Y: 0.2500 0.7500 0.5000
Y: 0.4523 0.7753 0.9080
Y: 0.4557 0.5477 0.3230
Y: 0.5443 0.4523 0.6770
Y: 0.5477 0.2247 0.0920
Y: 0.7500 0.2500 0.5000
Y: 0.7753 0.8673 0.3230
Y: 0.8673 0.5443 0.0920

Top 8 peaks for 10 to 90 degrees two-theta, by angle:
2θ (°)	intensity
26.41	80.3
28.42	100.0
28.67	76.9
32.15	79.2
33.23	95.9
33.86	51.5
44.45	49.1
59.38	42.3